# Ba2NiAu2O6
Theoretical powder X-ray diffraction pattern, Cu Kα. Input: a PBE+U-relaxed structure.

Main lines, sorted by position (2θ = 10–90°):
- (1 0 1), 2θ = 17.61°, I 24
- (1 1 0), 2θ = 29.38°, I 100
- (0 1 5), 2θ = 31.08°, I 73
- (0 0 6), 2θ = 31.23°, I 15
- (2 0 5), 2θ = 43.29°, I 32
- (1 1 6), 2θ = 43.41°, I 21
- (3 0 0), 2θ = 52.10°, I 20
- (1 2 5), 2θ = 53.18°, I 38
- (2 2 0), 2θ = 60.94°, I 16
- (3 1 5), 2θ = 70.02°, I 27

Structure:
Cell lengths 6.0809, 6.0809, 17.1817 Å; angles 90.00, 90.00, 120.00 degrees
Space group R-3m (No. 166, hexagonal axes)
Inequivalent atoms, fractional coordinates:
1 Ba 0.0000 0.0000 0.2171 x6
2 Ni 0.0000 0.0000 0.0000 x3
3 Au 0.0000 0.0000 0.4113 x6
4 O 0.0505 0.5253 0.7503 x18